This entry pairs a crystal structure of Fe4O3F5 with its calculated powder X-ray diffraction pattern. Radiation: λ = 1.5418 Å (Cu Kα). Structure: a structure optimized by DFT (GGA+U).
Peak positions follow from Bragg's law for the DFT cell and can differ from measured ones.

Most intense lines, 5 to 70 degrees two-theta, by intensity:
2θ/deg	I (rel.)
34.5	1000
25.4	951
27.3	891
51.0	323
50.9	321
53.1	258
53.0	252
52.2	207
65.8	206
66.1	192

Structural model:
Lattice parameters (Å, degrees): 5.6912 5.6912 10.4168 109.28 109.28 65.89
Sites, in units of the cell vectors:
1 Fe 0.0000 0.0000 0.0000
2 Fe 0.1224 0.6389 0.2387
3 Fe 0.2422 0.2422 0.5040
4 Fe 0.3910 0.8677 0.7377
5 Fe 0.5011 0.5011 0.9930
6 Fe 0.6389 0.1224 0.2387
7 Fe 0.7573 0.7573 0.4905
8 Fe 0.8677 0.3910 0.7377
9 O 0.1699 0.1699 0.6564
10 O 0.4220 0.4220 0.1436
11 O 0.5771 0.5771 0.8417
12 O 0.6820 0.6820 0.6421
13 O 0.8310 0.8310 0.3442
14 O 0.9330 0.9330 0.1527
15 F 0.0737 0.0737 0.8460
16 F 0.1119 0.5909 0.8953
17 F 0.1452 0.6593 0.5928
18 F 0.3199 0.3199 0.3413
19 F 0.3660 0.8341 0.3937
20 F 0.4156 0.8905 0.0933
21 F 0.5909 0.1119 0.8953
22 F 0.6593 0.1452 0.5928
23 F 0.8341 0.3660 0.3937
24 F 0.8905 0.4156 0.0933